Diffraction record for SrLaVO4. The powder diffraction line list is simulated, not measured: it uses a cell relaxed with GGA+U and a wavelength of 1.5418 Å.
Peak positions follow from Bragg's law for the DFT cell and can differ from measured ones.

Structure:
Lattice parameters (Å, degrees): 8.9003 8.9003 8.9003 143.68 100.76 90.44
Positions (direct):
Sr  0.1191  0.2498  0.3693
Sr  0.3807  0.7500  0.1307
Sr  0.6193  0.2500  0.8693
Sr  0.8805  0.7498  0.6307
La  0.1523  0.0362  0.6161
La  0.4201  0.5362  0.3839
La  0.6513  0.0361  0.1152
La  0.9210  0.5361  0.8848
V  0.0151  0.3904  0.1248
V  0.2656  0.8904  0.8752
V  0.5154  0.3907  0.6246
V  0.7661  0.8907  0.3754
O  0.0773  0.7199  0.8574
O  0.1570  0.5589  0.0981
O  0.1622  0.1622  0.0000
O  0.1622  0.6622  0.5000
O  0.3633  0.2202  0.6432
O  0.3836  0.1337  0.2499
O  0.3836  0.6337  0.7498
O  0.4609  0.0589  0.9019
O  0.5770  0.7202  0.3568
O  0.6557  0.5590  0.5967
O  0.6631  0.1631  0.5000
O  0.6631  0.6631  0.0000
O  0.8625  0.2199  0.1426
O  0.8838  0.1337  0.7501
O  0.8838  0.6337  0.2502
O  0.9624  0.0590  0.4033

The 12 most intense peaks (10° ≤ 2θ ≤ 90°), in order of rising 2θ:
23.52°, d = 3.783 Å, I = 27; 31.08°, d = 2.878 Å, I = 100; 31.52°, d = 2.838 Å, I = 35; 32.27°, d = 2.774 Å, I = 35; 42.65°, d = 2.120 Å, I = 13; 42.99°, d = 2.104 Å, I = 15; 43.30°, d = 2.090 Å, I = 13; 43.57°, d = 2.077 Å, I = 16; 45.74°, d = 1.984 Å, I = 37; 55.86°, d = 1.646 Å, I = 19; 56.80°, d = 1.621 Å, I = 19; 64.79°, d = 1.439 Å, I = 16

***

Diffraction record for Sr3LaV3O12. The powder diffraction line list is simulated, not measured: it uses a cell relaxed with GGA+U and a wavelength of 1.5418 Å.
Peak positions follow from Bragg's law for the DFT cell and can differ from measured ones.

Structure:
Lattice parameters (Å, degrees): 11.0330 11.0330 9.3642 95.47 95.47 29.81
Positions (direct):
Sr  0.0000  0.0000  0.0000
Sr  0.0648  0.0648  0.6667
Sr  0.1977  0.1977  0.0063
Sr  0.5311  0.5311  0.3428
Sr  0.6654  0.6654  0.6636
Sr  0.8698  0.8698  0.6609
La  0.3875  0.3875  0.0328
La  0.7450  0.7450  0.3319
V  0.1361  0.1361  0.3428
V  0.2629  0.2629  0.6598
V  0.4685  0.4685  0.6802
V  0.5972  0.5972  0.9992
V  0.8012  0.8012  0.0017
V  0.9281  0.9281  0.3195
O  0.0072  0.5261  0.5600
O  0.0449  0.5451  0.1087
O  0.0795  0.0795  0.1994
O  0.1832  0.6971  0.2096
O  0.1890  0.1890  0.7237
O  0.2062  0.7143  0.7835
O  0.2100  0.2100  0.2799
O  0.3204  0.3204  0.8087
O  0.3557  0.8531  0.8932
O  0.3775  0.8766  0.4479
O  0.4129  0.4129  0.5381
O  0.5221  0.5221  0.0572
O  0.5261  0.0072  0.5600
O  0.5440  0.5440  0.6169
O  0.5451  0.0449  0.1087
O  0.6578  0.6578  0.1419
O  0.6971  0.1832  0.2096
O  0.7143  0.2062  0.7835
O  0.7435  0.7435  0.8633
O  0.8531  0.3557  0.8932
O  0.8544  0.8544  0.3840
O  0.8763  0.8763  0.9450
O  0.8766  0.3775  0.4479
O  0.9846  0.9846  0.4627

The 12 most intense peaks (10° ≤ 2θ ≤ 90°), in order of rising 2θ:
28.68°, d = 3.112 Å, I = 100; 31.33°, d = 2.855 Å, I = 64; 31.52°, d = 2.838 Å, I = 35; 41.75°, d = 2.164 Å, I = 10; 42.76°, d = 2.115 Å, I = 14; 43.18°, d = 2.095 Å, I = 31; 48.89°, d = 1.863 Å, I = 11; 49.12°, d = 1.855 Å, I = 22; 54.38°, d = 1.687 Å, I = 11; 56.01°, d = 1.642 Å, I = 12; 65.36°, d = 1.428 Å, I = 10; 68.93°, d = 1.362 Å, I = 14

***

Diffraction record for SrLa2WO7. The powder diffraction line list is simulated, not measured: it uses a cell relaxed with GGA+U and a wavelength of 1.5418 Å.
Peak positions follow from Bragg's law for the DFT cell and can differ from measured ones.

Structure:
Lattice parameters (Å, degrees): 8.9525 5.8377 12.7905 90.00 105.16 90.00
Positions (direct):
Sr  0.0095  0.0110  0.3641
Sr  0.0095  0.4890  0.8641
Sr  0.9905  0.5110  0.1359
Sr  0.9905  0.9890  0.6359
La  0.2993  0.5153  0.4179
La  0.2993  0.9847  0.9179
La  0.4298  0.0156  0.6294
La  0.4298  0.4844  0.1294
La  0.5702  0.5156  0.8706
La  0.5702  0.9844  0.3706
La  0.7007  0.0153  0.0821
La  0.7007  0.4847  0.5821
W  0.2129  0.0339  0.1653
W  0.2129  0.4661  0.6653
W  0.7871  0.5339  0.3347
W  0.7871  0.9661  0.8347
O  0.0026  0.5473  0.3353
O  0.0026  0.9527  0.8353
O  0.1812  0.2375  0.0353
O  0.1812  0.2625  0.5353
O  0.1970  0.7375  0.5747
O  0.1970  0.7625  0.0747
O  0.2413  0.1650  0.7437
O  0.2413  0.3350  0.2437
O  0.2586  0.6262  0.8031
O  0.2586  0.8738  0.3031
O  0.4377  0.0475  0.1800
O  0.4377  0.4525  0.6800
O  0.4949  0.2403  0.4908
O  0.4949  0.2597  0.9908
O  0.5051  0.7403  0.0092
O  0.5051  0.7597  0.5092
O  0.5623  0.5475  0.3200
O  0.5623  0.9525  0.8200
O  0.7414  0.1262  0.6969
O  0.7414  0.3738  0.1969
O  0.7587  0.6650  0.7563
O  0.7587  0.8350  0.2563
O  0.8030  0.2375  0.9253
O  0.8030  0.2625  0.4253
O  0.8188  0.7375  0.4647
O  0.8188  0.7625  0.9647
O  0.9974  0.0473  0.1647
O  0.9974  0.4527  0.6647

The 12 most intense peaks (10° ≤ 2θ ≤ 90°), in order of rising 2θ:
19.74°, d = 4.497 Å, I = 14; 26.30°, d = 3.389 Å, I = 25; 28.11°, d = 3.174 Å, I = 100; 28.93°, d = 3.086 Å, I = 24; 29.98°, d = 2.981 Å, I = 62; 30.63°, d = 2.919 Å, I = 44; 40.47°, d = 2.229 Å, I = 19; 42.63°, d = 2.121 Å, I = 23; 45.86°, d = 1.979 Å, I = 12; 51.60°, d = 1.771 Å, I = 15; 52.93°, d = 1.730 Å, I = 16; 54.03°, d = 1.697 Å, I = 13

***

Diffraction record for La7Ta3W4O30. The powder diffraction line list is simulated, not measured: it uses a cell relaxed with GGA+U and a wavelength of 1.5418 Å.
Peak positions follow from Bragg's law for the DFT cell and can differ from measured ones.

Structure:
Lattice parameters (Å, degrees): 6.9512 10.2376 10.2445 115.08 103.26 102.72
Positions (direct):
La  0.0000  0.0000  0.0000
La  0.1229  0.5651  0.7657
La  0.3635  0.2401  0.8082
La  0.4494  0.8136  0.5671
La  0.5506  0.1864  0.4329
La  0.6365  0.7599  0.1918
La  0.8771  0.4349  0.2343
Ta  0.1477  0.7861  0.1704
Ta  0.5000  0.0000  0.0000
Ta  0.8523  0.2139  0.8296
W  0.0177  0.1659  0.3772
W  0.3592  0.3789  0.2120
W  0.6408  0.6211  0.7880
W  0.9823  0.8341  0.6228
O  0.0091  0.9491  0.2250
O  0.0293  0.6534  0.5197
O  0.0563  0.3355  0.7923
O  0.0685  0.2806  0.0574
O  0.2116  0.9544  0.6082
O  0.2155  0.8620  0.8251
O  0.2158  0.2272  0.2815
O  0.2509  0.2029  0.5370
O  0.2640  0.6558  0.0427
O  0.2872  0.5390  0.3361
O  0.3617  0.9679  0.1409
O  0.3855  0.8652  0.3506
O  0.3926  0.1768  0.0371
O  0.3968  0.6117  0.6559
O  0.4922  0.5182  0.8656
O  0.5078  0.4818  0.1344
O  0.6032  0.3883  0.3441
O  0.6074  0.8232  0.9629
O  0.6145  0.1348  0.6494
O  0.6383  0.0321  0.8591
O  0.7128  0.4610  0.6639
O  0.7360  0.3442  0.9573
O  0.7491  0.7971  0.4630
O  0.7842  0.7728  0.7185
O  0.7845  0.1380  0.1749
O  0.7884  0.0456  0.3918
O  0.9315  0.7194  0.9426
O  0.9437  0.6645  0.2077
O  0.9707  0.3466  0.4803
O  0.9909  0.0509  0.7750

The 12 most intense peaks (10° ≤ 2θ ≤ 90°), in order of rising 2θ:
10.23°, d = 8.643 Å, I = 11; 20.55°, d = 4.321 Å, I = 13; 27.30°, d = 3.267 Å, I = 100; 30.09°, d = 2.970 Å, I = 22; 30.22°, d = 2.957 Å, I = 47; 33.58°, d = 2.669 Å, I = 17; 36.00°, d = 2.495 Å, I = 14; 45.01°, d = 2.014 Å, I = 13; 45.21°, d = 2.006 Å, I = 26; 51.35°, d = 1.779 Å, I = 13; 52.98°, d = 1.728 Å, I = 13; 55.25°, d = 1.662 Å, I = 11

***

Diffraction record for LaV3TeO15. The powder diffraction line list is simulated, not measured: it uses a cell relaxed with GGA+U and a wavelength of 1.5418 Å.
Peak positions follow from Bragg's law for the DFT cell and can differ from measured ones.

Structure:
Lattice parameters (Å, degrees): 9.7970 9.7970 9.7970 58.32 58.32 58.32
Positions (direct):
La  0.0000  0.0000  0.0000
La  0.5000  0.5000  0.5000
V  0.0531  0.8960  0.4272
V  0.3960  0.5531  0.9272
V  0.4272  0.0531  0.8960
V  0.5531  0.9272  0.3960
V  0.8960  0.4272  0.0531
V  0.9272  0.3960  0.5531
Te  0.2244  0.2244  0.2244
Te  0.7244  0.7244  0.7244
O  0.0653  0.0998  0.3719
O  0.0665  0.9298  0.7537
O  0.0706  0.8843  0.2554
O  0.0853  0.3840  0.3466
O  0.0998  0.3719  0.0653
O  0.2155  0.7252  0.4938
O  0.2252  0.7155  0.9938
O  0.2537  0.4298  0.5665
O  0.2554  0.0706  0.8843
O  0.3466  0.0853  0.3840
O  0.3719  0.0653  0.0998
O  0.3840  0.3466  0.0853
O  0.3843  0.5706  0.7554
O  0.4298  0.5665  0.2537
O  0.4938  0.2155  0.7252
O  0.5653  0.8719  0.5998
O  0.5665  0.2537  0.4298
O  0.5706  0.7554  0.3843
O  0.5853  0.8466  0.8840
O  0.5998  0.5653  0.8719
O  0.7155  0.9938  0.2252
O  0.7252  0.4938  0.2155
O  0.7537  0.0665  0.9298
O  0.7554  0.3843  0.5706
O  0.8466  0.8840  0.5853
O  0.8719  0.5998  0.5653
O  0.8843  0.2554  0.0706
O  0.8840  0.5853  0.8466
O  0.9298  0.7537  0.0665
O  0.9938  0.2252  0.7155

The 12 most intense peaks (10° ≤ 2θ ≤ 90°), in order of rising 2θ:
12.95°, d = 6.835 Å, I = 28; 18.12°, d = 4.895 Å, I = 92; 18.59°, d = 4.774 Å, I = 85; 21.61°, d = 4.112 Å, I = 36; 26.07°, d = 3.418 Å, I = 100; 28.91°, d = 3.088 Å, I = 37; 32.21°, d = 2.779 Å, I = 45; 32.49°, d = 2.756 Å, I = 25; 41.46°, d = 2.178 Å, I = 22; 42.12°, d = 2.145 Å, I = 27; 50.40°, d = 1.811 Å, I = 17; 50.59°, d = 1.804 Å, I = 20

***

Diffraction record for LaTlW2O8. The powder diffraction line list is simulated, not measured: it uses a cell relaxed with GGA+U and a wavelength of 1.5418 Å.
Peak positions follow from Bragg's law for the DFT cell and can differ from measured ones.

Structure:
Lattice parameters (Å, degrees): 8.1869 8.1869 7.7480 117.94 117.94 91.65
Positions (direct):
La  0.2312  0.2312  0.0504
La  0.7688  0.7688  0.9496
Tl  0.2191  0.7809  0.5000
Tl  0.7809  0.2191  0.5000
W  0.2602  0.2602  0.5036
W  0.3422  0.6578  0.0000
W  0.6578  0.3422  0.0000
W  0.7398  0.7398  0.4964
O  0.0435  0.0435  0.3074
O  0.1705  0.4020  0.7206
O  0.1772  0.3942  0.3538
O  0.1802  0.6855  0.0996
O  0.3145  0.8198  0.9004
O  0.3942  0.1772  0.3538
O  0.4020  0.1705  0.7206
O  0.4794  0.4794  0.1606
O  0.5206  0.5206  0.8394
O  0.5980  0.8295  0.2794
O  0.6058  0.8228  0.6462
O  0.6855  0.1802  0.0996
O  0.8198  0.3145  0.9004
O  0.8228  0.6058  0.6462
O  0.8295  0.5980  0.2794
O  0.9565  0.9565  0.6926

The 12 most intense peaks (10° ≤ 2θ ≤ 90°), in order of rising 2θ:
21.76°, d = 4.084 Å, I = 16; 25.28°, d = 3.523 Å, I = 22; 25.49°, d = 3.494 Å, I = 39; 25.99°, d = 3.428 Å, I = 100; 27.59°, d = 3.234 Å, I = 74; 31.19°, d = 2.867 Å, I = 37; 31.48°, d = 2.842 Å, I = 25; 34.34°, d = 2.611 Å, I = 17; 42.84°, d = 2.111 Å, I = 22; 47.50°, d = 1.914 Å, I = 15; 48.22°, d = 1.887 Å, I = 16; 51.52°, d = 1.774 Å, I = 19

***

Diffraction record for La11V12O36. The powder diffraction line list is simulated, not measured: it uses a cell relaxed with GGA+U and a wavelength of 1.5418 Å.
Peak positions follow from Bragg's law for the DFT cell and can differ from measured ones.

Structure:
Lattice parameters (Å, degrees): 7.9097 9.6634 11.1563 73.38 89.89 66.13
Positions (direct):
La  0.0000  0.0000  0.0000
La  0.0314  0.9750  0.5252
La  0.1561  0.6610  0.3393
La  0.3271  0.3345  0.6735
La  0.3677  0.3143  0.1858
La  0.4934  0.9926  0.0064
La  0.5250  0.9733  0.5283
La  0.6600  0.6647  0.3341
La  0.7099  0.6408  0.8546
La  0.8296  0.3272  0.6759
La  0.8612  0.3092  0.1917
V  0.0961  0.3196  0.4310
V  0.1010  0.3244  0.9282
V  0.2622  0.9869  0.2641
V  0.2664  0.9737  0.7656
V  0.4274  0.6518  0.6018
V  0.4267  0.6527  0.0940
V  0.5904  0.3255  0.9316
V  0.5961  0.3178  0.4340
V  0.7620  0.9857  0.2652
V  0.7648  0.9835  0.7663
V  0.9305  0.6517  0.6001
V  0.9358  0.6559  0.0911
O  0.9996  0.4520  0.5444
O  0.0089  0.9966  0.3008
O  0.0214  0.4991  0.7724
O  0.1606  0.1276  0.0828
O  0.1838  0.6463  0.5625
O  0.1932  0.1926  0.3127
O  0.1991  0.6029  0.1207
O  0.2213  0.1628  0.8256
O  0.2277  0.1208  0.5889
O  0.3077  0.8556  0.9466
O  0.3162  0.8120  0.6971
O  0.3212  0.3690  0.4271
O  0.3312  0.7842  0.2115
O  0.3601  0.3031  0.9696
O  0.3620  0.8497  0.4440
O  0.5156  0.4452  0.7525
O  0.5165  0.9743  0.2294
O  0.5370  0.9317  0.7756
O  0.5495  0.5083  0.4956
O  0.5513  0.4966  0.9914
O  0.5591  0.4564  0.2499
O  0.6346  0.1788  0.6167
O  0.6414  0.1297  0.3693
O  0.6594  0.6976  0.0903
O  0.6676  0.1270  0.8811
O  0.6733  0.6608  0.6339
O  0.6990  0.1796  0.1109
O  0.8283  0.7887  0.4174
O  0.8459  0.8584  0.6452
O  0.8509  0.3080  0.9004
O  0.8721  0.2683  0.4395
O  0.8736  0.7973  0.9273
O  0.8853  0.8409  0.1591
O  0.9614  0.5225  0.2713
O  0.9762  0.4690  0.0366
O  0.9933  0.0349  0.7576

The 12 most intense peaks (10° ≤ 2θ ≤ 90°), in order of rising 2θ:
22.50°, d = 3.952 Å, I = 25; 31.94°, d = 2.802 Å, I = 50; 32.07°, d = 2.791 Å, I = 100; 39.55°, d = 2.279 Å, I = 21; 45.87°, d = 1.978 Å, I = 30; 46.03°, d = 1.972 Å, I = 16; 56.83°, d = 1.620 Å, I = 8; 57.00°, d = 1.616 Å, I = 14; 57.17°, d = 1.611 Å, I = 28; 57.22°, d = 1.610 Å, I = 11; 67.12°, d = 1.395 Å, I = 12; 76.23°, d = 1.249 Å, I = 9

***

Diffraction record for LaVO3. The powder diffraction line list is simulated, not measured: it uses a cell relaxed with GGA+U and a wavelength of 1.5418 Å.
Peak positions follow from Bragg's law for the DFT cell and can differ from measured ones.

Structure:
Lattice parameters (Å, degrees): 3.9501 3.9501 3.9501 90.00 90.00 90.00
Positions (direct):
La  0.0000  0.0000  0.0000
V  0.5000  0.5000  0.5000
O  0.0000  0.5000  0.5000
O  0.5000  0.0000  0.5000
O  0.5000  0.5000  0.0000

The 12 most intense peaks (10° ≤ 2θ ≤ 90°), in order of rising 2θ:
22.51°, d = 3.950 Å, I = 19; 32.04°, d = 2.793 Å, I = 100; 39.51°, d = 2.281 Å, I = 24; 45.95°, d = 1.975 Å, I = 34; 51.75°, d = 1.767 Å, I = 10; 57.12°, d = 1.613 Å, I = 38; 67.01°, d = 1.397 Å, I = 20; 71.68°, d = 1.317 Å, I = 5; 76.22°, d = 1.249 Å, I = 16; 80.68°, d = 1.191 Å, I = 8; 85.08°, d = 1.140 Å, I = 7; 89.45°, d = 1.096 Å, I = 3